Theoretical PXRD pattern
Compound: CeNd2Tm6
Radiation: Cu Kα X-rays
Structure: a DFT-relaxed cell (GGA-PBE, Alexandria)
Kinematic intensities with the Lorentz-polarization factor, no thermal factor.

Top 8 peaks for 10° ≤ 2θ ≤ 90°, low angle first:
| index | 2θ (°) | Rel. int. |
| --- | --- | --- |
| 2 -1 1 | 31.58 | 83.7 |
| 3 0 0 | 32.06 | 100.0 |
| 0 2 1 | 33.39 | 14.9 |
| 2 2 1 | 45.62 | 27.9 |
| 5 -4 1 | 56.85 | 26.9 |
| 3 3 0 | 57.15 | 18.5 |
| 3 0 2 | 62.71 | 17.7 |
| 6 0 0 | 67.04 | 13.2 |

Structural model:
a b c (Å): 9.6703 9.6703 3.4965
angles (deg): 90.00 90.00 120.00
Element x y z (fractional)
Ce: 0.0000 0.0000 0.0000
Nd: 0.3333 0.6667 0.7638
Nd: 0.6667 0.3333 0.2362
Tm: 0.0218 0.3483 0.2698
Tm: 0.3265 0.9782 0.2698
Tm: 0.3483 0.3265 0.7302
Tm: 0.6517 0.6735 0.2698
Tm: 0.6735 0.0218 0.7302
Tm: 0.9782 0.6517 0.7302